Starting from the PBE geometry in Alexandria, the powder diffractogram of Er3NiI3 was simulated for Cu Kα X-rays.
Neutral-atom scattering factors, no anomalous dispersion.

```
Er3NiI3
1.0
8.9351 0.0000 0.0000
0.0000 4.0653 0.0000
-0.6065 0.0000 12.1114
Er Ni I
6 2 6
direct
0.1032 0.2500 0.3205
0.1151 0.2500 0.8790
0.2770 0.7500 0.1092
0.7230 0.2500 0.8908
0.8849 0.7500 0.1210
0.8968 0.7500 0.6795
0.0815 0.2500 0.1036
0.9185 0.7500 0.8964
0.1416 0.2500 0.6095
0.3629 0.7500 0.3671
0.4054 0.7500 0.8669
0.5946 0.2500 0.1331
0.6371 0.2500 0.6329
0.8584 0.7500 0.3905
```

Principal peaks in the range 10 to 90 degrees two-theta, in order of rising 2θ:
- 2θ = 28.53°, I 15
- 2θ = 29.50°, I 47
- 2θ = 29.73°, I 100
- 2θ = 31.23°, I 19
- 2θ = 32.86°, I 17
- 2θ = 34.24°, I 13
- 2θ = 37.46°, I 12
- 2θ = 37.95°, I 11
- 2θ = 41.62°, I 35
- 2θ = 43.12°, I 16
- 2θ = 44.58°, I 23
- 2θ = 54.36°, I 17